# 1
Diffraction record for CsTmTl2. The X-ray diffraction stick pattern is theoretical, not measured: it uses the GGA-PBE geometry in Alexandria and Cu Kα (weighted mean of Kα1 and Kα2).
Kinematic intensities with the Lorentz-polarization factor, no thermal factor.

Cell and atoms:
Lattice parameters (Å, degrees): 11.4362 11.4362 11.4362 19.14 19.14 19.14
Element x y z (fractional)
Cs 0.0000 0.0000 0.0000
Tm 0.5000 0.5000 0.5000
Tl 0.2381 0.2381 0.2381
Tl 0.7619 0.7619 0.7619

Largest 12 diffraction maxima, sorted by position, 5 to 70 degrees two-theta:
7.9°, I 20.7
29.1°, I 100.0
31.9°, I 17.1
33.0°, I 8.8
34.6°, I 54.5
40.2°, I 15.0
47.8°, I 27.2
51.5°, I 8.8
57.0°, I 15.4
58.6°, I 18.3
60.4°, I 11.1
64.2°, I 10.2

=====

# 2
Diffraction record for Nd6ScS8. The X-ray diffraction stick pattern is theoretical, not measured: it uses the GGA-PBE geometry in Alexandria and Cu Kα (weighted mean of Kα1 and Kα2).
Kinematic intensities with the Lorentz-polarization factor, no thermal factor.

Cell and atoms:
Lattice parameters (Å, degrees): 8.0714 8.0714 8.0714 60.00 60.00 60.00
Element x y z (fractional)
Nd 0.0000 0.0000 0.5000
Nd 0.0000 0.5000 0.0000
Nd 0.0000 0.5000 0.5000
Nd 0.5000 0.0000 0.0000
Nd 0.5000 0.0000 0.5000
Nd 0.5000 0.5000 0.0000
Sc 0.0000 0.0000 0.0000
S 0.2350 0.2350 0.7650
S 0.2350 0.7650 0.2350
S 0.2350 0.7650 0.7650
S 0.2500 0.2500 0.2500
S 0.7500 0.7500 0.7500
S 0.7650 0.2350 0.2350
S 0.7650 0.2350 0.7650
S 0.7650 0.7650 0.2350

Largest 12 diffraction maxima, sorted by position, 5 to 70 degrees two-theta:
15.5°, I 22.7
22.0°, I 20.2
27.1°, I 57.6
31.3°, I 100.0
35.2°, I 13.0
38.6°, I 10.0
44.9°, I 71.2
47.8°, I 7.0
53.2°, I 29.7
55.8°, I 24.4
60.7°, I 5.1
65.4°, I 11.2

=====

# 3
Diffraction record for Ga. The X-ray diffraction stick pattern is theoretical, not measured: it uses the GGA-PBE geometry in Alexandria and Cu Kα (weighted mean of Kα1 and Kα2).
Kinematic intensities with the Lorentz-polarization factor, no thermal factor.

Cell and atoms:
Lattice parameters (Å, degrees): 8.6646 8.6646 5.2379 90.00 90.00 102.86
Element x y z (fractional)
Ga 0.0053 0.9947 0.7500
Ga 0.0820 0.6682 0.7500
Ga 0.0878 0.3649 0.7500
Ga 0.2116 0.7884 0.2500
Ga 0.2266 0.3304 0.2500
Ga 0.3304 0.2266 0.7500
Ga 0.3318 0.9180 0.7500
Ga 0.3649 0.0878 0.2500
Ga 0.3933 0.6067 0.5026
Ga 0.3933 0.6067 0.9974
Ga 0.6067 0.3933 0.0026
Ga 0.6067 0.3933 0.4974
Ga 0.6351 0.9122 0.7500
Ga 0.6682 0.0820 0.2500
Ga 0.6696 0.7734 0.2500
Ga 0.7734 0.6696 0.7500
Ga 0.7884 0.2116 0.7500
Ga 0.9122 0.6351 0.2500
Ga 0.9180 0.3318 0.2500
Ga 0.9947 0.0053 0.2500

Largest 12 diffraction maxima, sorted by position, 5 to 70 degrees two-theta:
31.8°, I 47.9
33.2°, I 45.9
34.1°, I 85.4
34.2°, I 56.8
35.8°, I 28.7
35.9°, I 51.2
36.2°, I 53.2
38.2°, I 33.4
43.7°, I 50.6
45.9°, I 39.8
46.4°, I 59.1
47.0°, I 100.0

=====

# 4
Diffraction record for Ca3Ga3Ge2. The X-ray diffraction stick pattern is theoretical, not measured: it uses the GGA-PBE geometry in Alexandria and Cu Kα (weighted mean of Kα1 and Kα2).
Kinematic intensities with the Lorentz-polarization factor, no thermal factor.

Cell and atoms:
Lattice parameters (Å, degrees): 6.1251 6.1251 16.1061 90.00 90.00 140.72
Element x y z (fractional)
Ca 0.0619 0.9381 0.7500
Ca 0.3496 0.6504 0.5900
Ca 0.3496 0.6504 0.9100
Ca 0.6504 0.3496 0.0900
Ca 0.6504 0.3496 0.4100
Ca 0.9381 0.0619 0.2500
Ga 0.0597 0.9403 0.5617
Ga 0.0597 0.9403 0.9383
Ga 0.2075 0.7925 0.2500
Ga 0.7925 0.2075 0.7500
Ga 0.9403 0.0597 0.0617
Ga 0.9403 0.0597 0.4383
Ge 0.3464 0.6536 0.1176
Ge 0.3464 0.6536 0.3824
Ge 0.6536 0.3464 0.6176
Ge 0.6536 0.3464 0.8824

Largest 12 diffraction maxima, sorted by position, 5 to 70 degrees two-theta:
16.3°, I 52.7
18.9°, I 47.2
22.6°, I 61.3
31.8°, I 100.0
32.0°, I 95.7
32.3°, I 49.3
33.4°, I 78.4
39.1°, I 92.3
42.0°, I 68.3
42.7°, I 78.3
44.0°, I 76.3
62.5°, I 63.4